[1]
For La2SnPd5, DFT lattice parameters and positions (GGA-PBE) gives the theoretical X-ray diffraction stick pattern in this record (copper Kα).
Kinematic intensities with the Lorentz-polarization factor, no thermal factor.

Largest 12 diffraction maxima, by angle, 15° ≤ 2θ ≤ 90°:
index	2θ/deg	I (rel.)
0 2 0	26.67	29
1 2 2	31.94	21
1 0 5	33.67	47
1 2 3	34.97	87
3 0 1	36.88	29
2 1 4	37.49	48
2 2 2	38.38	44
1 0 6	39.84	22
2 2 3	40.99	100
0 1 7	46.65	21
0 4 0	54.94	21
3 2 7	65.62	21

Cell and atoms:
Cell: 7.4210 6.6846 14.2568 Å, 90.00 90.00 90.00°
Positions (direct):
La 0.0201 0.2500 0.1902
La 0.1672 0.7500 0.4218
La 0.3328 0.2500 0.9218
La 0.4799 0.7500 0.6902
La 0.5201 0.2500 0.3098
La 0.6672 0.7500 0.0782
La 0.8328 0.2500 0.5782
La 0.9799 0.7500 0.8098
Sn 0.1542 0.7500 0.1199
Sn 0.3458 0.2500 0.6199
Sn 0.6542 0.7500 0.3801
Sn 0.8458 0.2500 0.8801
Pd 0.0000 0.0000 0.0000
Pd 0.0000 0.5000 0.0000
Pd 0.1057 0.2500 0.7585
Pd 0.1146 0.5537 0.6197
Pd 0.1146 0.9463 0.6197
Pd 0.1954 0.2500 0.4379
Pd 0.3046 0.7500 0.9379
Pd 0.3854 0.0537 0.1197
Pd 0.3854 0.4463 0.1197
Pd 0.3943 0.7500 0.2585
Pd 0.5000 0.0000 0.5000
Pd 0.5000 0.5000 0.5000
Pd 0.6057 0.2500 0.7415
Pd 0.6146 0.5537 0.8803
Pd 0.6146 0.9463 0.8803
Pd 0.6954 0.2500 0.0621
Pd 0.8046 0.7500 0.5621
Pd 0.8854 0.0537 0.3803
Pd 0.8854 0.4463 0.3803
Pd 0.8943 0.7500 0.2415

=====

[2]
For La2ZnSnPd6, DFT lattice parameters and positions (GGA-PBE) gives the theoretical X-ray diffraction stick pattern in this record (copper Kα).
Kinematic intensities with the Lorentz-polarization factor, no thermal factor.

Largest 12 diffraction maxima, by angle, 15° ≤ 2θ ≤ 90°:
index	2θ/deg	I (rel.)
1 0 2	28.89	54
1 2 0	29.36	63
0 1 -2	34.73	44
0 2 -1	35.29	40
2 2 1	35.44	30
2 2 2	37.79	100
2 0 2	39.21	65
0 2 2	40.02	58
1 0 -2	40.33	67
1 -2 0	41.30	31
1 3 1	41.41	30
0 2 -2	45.25	34

Cell and atoms:
Cell: 5.6080 6.5636 6.7313 Å, 74.19 65.42 64.90°
Positions (direct):
La 0.0031 0.2405 0.2522
La 0.9969 0.7595 0.7478
Zn 0.5000 0.0000 0.5000
Sn 0.5000 0.5000 0.0000
Pd 0.0086 0.1942 0.7952
Pd 0.3157 0.4290 0.4388
Pd 0.4991 0.8071 0.2035
Pd 0.5009 0.1929 0.7965
Pd 0.6843 0.5710 0.5612
Pd 0.9914 0.8058 0.2048